# 1
Structure and computed XRD peak list of KNaH6PtC4N4O3 (a structure optimized by DFT (PBE); CuKα).
Kinematic intensities with the Lorentz-polarization factor, no thermal factor.

Main lines, in order of falling intensity (2θ from 10° to 90°):
- hkl 1 1 0, 10.0°, rel. 100
- hkl 2 2 0, 20.2°, rel. 33
- hkl 0 2 0, 13.0°, rel. 27
- hkl 1 3 0, 21.1°, rel. 25
- hkl 2 0 0, 15.3°, rel. 22
- hkl 4 0 -2, 33.9°, rel. 18
- hkl 1 1 -2, 29.8°, rel. 16
- hkl 3 1 0, 24.0°, rel. 15
- hkl 2 2 -2, 31.7°, rel. 15
- hkl 2 0 -2, 28.7°, rel. 12

Cell and atoms:
```
data_KNaH6PtC4N4O3
_chemical_formula_sum 'K4 Na4 H24 Pt4 C16 N16 O12'
_symmetry_space_group_name_H-M 'C 1 c 1'
_symmetry_Int_Tables_number 9
_symmetry_space_group_name_Hall 'C -2yc'
_cell_length_a 12.678
_cell_length_b 13.580
_cell_length_c 6.246
_cell_angle_alpha 90.00
_cell_angle_beta 113.98
_cell_angle_gamma 90.00
loop_
_atom_site_label
_atom_site_type_symbol
_atom_site_fract_x
_atom_site_fract_y
_atom_site_fract_z
_atom_site_occupancy
K1 K 0.000 0.241 0.000 1
Na1 Na 0.269 0.092 0.025 1
H1 H 0.042 0.095 0.636 1
H2 H 0.106 0.193 0.634 1
H3 H 0.140 0.072 0.322 1
H4 H 0.267 0.109 0.479 1
H5 H 0.348 0.226 0.814 1
H6 H 0.441 0.144 0.861 1
Pt1 Pt 0.226 0.497 0.018 1
C1 C 0.063 0.454 0.867 1
C2 C 0.172 0.365 0.485 1
C3 C 0.274 0.357 0.057 1
C4 C 0.390 0.459 0.659 1
N1 N 0.137 0.284 0.468 1
N2 N 0.299 0.273 0.077 1
N3 N 0.467 0.073 0.272 1
N4 N 0.486 0.434 0.738 1
O1 O 0.091 0.145 0.740 1
O2 O 0.222 0.066 0.347 1
O3 O 0.370 0.170 0.740 1
```

=====

# 2
Structure and computed XRD peak list of U2Tl2Te5 (a structure optimized by DFT (PBE); CuKα).
Kinematic intensities with the Lorentz-polarization factor, no thermal factor.

Main lines, in order of falling intensity (2θ from 10° to 90°):
- hkl 1 3 1, 34.4°, rel. 100
- hkl 4 2 1, 31.8°, rel. 66
- hkl 3 1 2, 28.5°, rel. 56
- hkl 5 1 2, 35.5°, rel. 42
- hkl 5 1 1, 30.1°, rel. 38
- hkl 2 0 0, 10.3°, rel. 37
- hkl 2 2 0, 23.7°, rel. 34
- hkl 5 3 1, 43.2°, rel. 32
- hkl 0 2 2, 30.3°, rel. 27
- hkl 9 3 1, 59.8°, rel. 27

Cell and atoms:
```
data_U2Tl2Te5
_chemical_formula_sum 'U8 Tl8 Te20'
_symmetry_space_group_name_H-M 'C m c e'
_symmetry_Int_Tables_number 64
_symmetry_space_group_name_Hall '-C 2ac 2'
_cell_length_a 17.159
_cell_length_b 8.337
_cell_length_c 8.352
_cell_angle_alpha 90.00
_cell_angle_beta 90.00
_cell_angle_gamma 90.00
loop_
_atom_site_label
_atom_site_type_symbol
_atom_site_fract_x
_atom_site_fract_y
_atom_site_fract_z
_atom_site_occupancy
U1 U 0.000 0.151 0.151 1
Tl1 Tl 0.202 0.000 0.500 1
Te1 Te 0.000 0.000 0.500 1
Te2 Te 0.118 0.150 0.850 1
```

=====

# 3
Structure and computed XRD peak list of HoNbN2O (a structure optimized by DFT (PBE); CuKα).
Kinematic intensities with the Lorentz-polarization factor, no thermal factor.

Main lines, in order of falling intensity (2θ from 10° to 90°):
- hkl 2 1 1, 32.0°, rel. 100
- hkl 0 0 2, 31.5°, rel. 27
- hkl 0 2 2, 45.4°, rel. 23
- hkl 0 2 0, 31.8°, rel. 21
- hkl 2 1 3, 56.5°, rel. 20
- hkl 2 3 1, 56.8°, rel. 20
- hkl 4 0 2, 57.3°, rel. 12
- hkl 4 2 2, 67.0°, rel. 12
- hkl 4 0 0, 46.5°, rel. 11
- hkl 2 3 3, 75.4°, rel. 11

Cell and atoms:
```
data_HoNbN2O
_chemical_formula_sum 'Ho4 Nb4 N8 O4'
_symmetry_space_group_name_H-M 'I m a 2'
_symmetry_Int_Tables_number 46
_symmetry_space_group_name_Hall 'I 2 -2a'
_cell_length_a 7.814
_cell_length_b 5.633
_cell_length_c 5.675
_cell_angle_alpha 90.00
_cell_angle_beta 90.00
_cell_angle_gamma 90.00
loop_
_atom_site_label
_atom_site_type_symbol
_atom_site_fract_x
_atom_site_fract_y
_atom_site_fract_z
_atom_site_occupancy
Ho1 Ho 0.250 0.029 0.000 1
Nb1 Nb 0.000 0.000 0.490 1
N1 N 0.068 0.249 0.269 1
O1 O 0.250 0.627 0.024 1
```

=====

# 4
Structure and computed XRD peak list of Zr4In3Mo2C3 (a structure optimized by DFT (PBE); CuKα).
Kinematic intensities with the Lorentz-polarization factor, no thermal factor.

Main lines, in order of falling intensity (2θ from 10° to 90°):
- hkl 0 2 3, 36.7°, rel. 100
- hkl 0 0 6, 36.8°, rel. 79
- hkl 3 1 -1, 31.7°, rel. 22
- hkl 6 0 -8, 69.2°, rel. 21
- hkl 3 3 -1, 56.3°, rel. 19
- hkl 3 1 -10, 66.1°, rel. 18
- hkl 3 1 -7, 49.2°, rel. 15
- hkl 0 2 0, 31.6°, rel. 10
- hkl 6 0 -2, 56.4°, rel. 9
- hkl 3 3 -7, 69.1°, rel. 9

Cell and atoms:
```
data_Zr4In3Mo2C3
_chemical_formula_sum 'Zr16 In12 Mo8 C12'
_symmetry_space_group_name_H-M 'C 1 2/c 1'
_symmetry_Int_Tables_number 15
_symmetry_space_group_name_Hall '-C 2yc'
_cell_length_a 9.782
_cell_length_b 5.671
_cell_length_c 15.033
_cell_angle_alpha 90.00
_cell_angle_beta 102.67
_cell_angle_gamma 90.00
loop_
_atom_site_label
_atom_site_type_symbol
_atom_site_fract_x
_atom_site_fract_y
_atom_site_fract_z
_atom_site_occupancy
Zr1 Zr 0.113 0.079 0.088 1
Zr2 Zr 0.219 0.086 0.412 1
In1 In 0.000 0.112 0.750 1
In2 In 0.154 0.427 0.249 1
Mo1 Mo 0.062 0.413 0.926 1
C1 C 0.081 0.257 0.500 1
C2 C 0.250 0.250 0.000 1
```

=====

# 5
Structure and computed XRD peak list of Hf2Tl2S5 (a structure optimized by DFT (PBE); CuKα).
Kinematic intensities with the Lorentz-polarization factor, no thermal factor.

Main lines, in order of falling intensity (2θ from 10° to 90°):
- hkl 1 1 -3, 25.0°, rel. 100
- hkl 3 1 -1, 26.9°, rel. 90
- hkl 2 2 1, 31.6°, rel. 61
- hkl 2 0 2, 26.3°, rel. 50
- hkl 0 2 1, 24.8°, rel. 40
- hkl 1 1 5, 44.6°, rel. 30
- hkl 3 3 -2, 44.2°, rel. 29
- hkl 4 0 -4, 38.4°, rel. 25
- hkl 1 3 -2, 39.0°, rel. 25
- hkl 1 1 -4, 31.9°, rel. 24

Cell and atoms:
```
data_Hf2Tl2S5
_chemical_formula_sum 'Hf8 Tl8 S20'
_symmetry_space_group_name_H-M 'C 1 2/c 1'
_symmetry_Int_Tables_number 15
_symmetry_space_group_name_Hall '-C 2yc'
_cell_length_a 11.094
_cell_length_b 7.542
_cell_length_c 12.116
_cell_angle_alpha 90.00
_cell_angle_beta 108.40
_cell_angle_gamma 90.00
loop_
_atom_site_label
_atom_site_type_symbol
_atom_site_fract_x
_atom_site_fract_y
_atom_site_fract_z
_atom_site_occupancy
Hf1 Hf 0.092 0.163 0.441 1
Tl1 Tl 0.203 0.328 0.812 1
S1 S 0.000 0.312 0.250 1
S2 S 0.011 0.135 0.609 1
S3 S 0.199 0.448 0.541 1
```

=====

# 6
Structure and computed XRD peak list of Tm2Lu2In5Ni2 (a structure optimized by DFT (PBE); CuKα).
Kinematic intensities with the Lorentz-polarization factor, no thermal factor.

Main lines, in order of falling intensity (2θ from 10° to 90°):
- hkl 1 1 2, 34.7°, rel. 100
- hkl 1 1 -2, 33.6°, rel. 89
- hkl 2 1 0, 34.8°, rel. 88
- hkl 3 0 0, 35.4°, rel. 69
- hkl 1 0 3, 32.0°, rel. 63
- hkl 2 0 -3, 35.7°, rel. 56
- hkl 0 1 3, 38.7°, rel. 50
- hkl 2 1 -2, 39.0°, rel. 48
- hkl 2 1 1, 36.7°, rel. 41
- hkl 0 2 0, 52.4°, rel. 40

Cell and atoms:
```
data_Tm2Lu2In5Ni2
_chemical_formula_sum 'Tm2 Lu2 In5 Ni2'
_symmetry_space_group_name_H-M 'P 1 2/m 1'
_symmetry_Int_Tables_number 10
_symmetry_space_group_name_Hall '-P 2y'
_cell_length_a 7.644
_cell_length_b 3.495
_cell_length_c 9.375
_cell_angle_alpha 90.00
_cell_angle_beta 94.82
_cell_angle_gamma 90.00
loop_
_atom_site_label
_atom_site_type_symbol
_atom_site_fract_x
_atom_site_fract_y
_atom_site_fract_z
_atom_site_occupancy
Tm1 Tm 0.209 0.000 0.438 1
Lu1 Lu 0.182 0.000 0.842 1
In1 In 0.160 0.500 0.143 1
In2 In 0.454 0.500 0.669 1
In3 In 0.500 0.500 0.000 1
Ni1 Ni 0.072 0.500 0.632 1
```

=====

# 7
Structure and computed XRD peak list of TbNbN2O (a structure optimized by DFT (PBE); CuKα).
Kinematic intensities with the Lorentz-polarization factor, no thermal factor.

Main lines, in order of falling intensity (2θ from 10° to 90°):
- hkl 2 1 1, 31.9°, rel. 100
- hkl 0 0 2, 31.4°, rel. 27
- hkl 0 2 2, 45.1°, rel. 24
- hkl 4 0 2, 57.1°, rel. 22
- hkl 0 2 0, 31.5°, rel. 21
- hkl 2 3 1, 56.4°, rel. 20
- hkl 2 1 3, 56.3°, rel. 20
- hkl 4 2 2, 66.7°, rel. 12
- hkl 4 0 0, 46.4°, rel. 11
- hkl 2 3 3, 74.9°, rel. 8

Cell and atoms:
```
data_TbNbN2O
_chemical_formula_sum 'Tb4 Nb4 N8 O4'
_symmetry_space_group_name_H-M 'I m a 2'
_symmetry_Int_Tables_number 46
_symmetry_space_group_name_Hall 'I 2 -2a'
_cell_length_a 7.828
_cell_length_b 5.672
_cell_length_c 5.694
_cell_angle_alpha 90.00
_cell_angle_beta 90.00
_cell_angle_gamma 90.00
loop_
_atom_site_label
_atom_site_type_symbol
_atom_site_fract_x
_atom_site_fract_y
_atom_site_fract_z
_atom_site_occupancy
Tb1 Tb 0.250 0.026 0.000 1
Nb1 Nb 0.000 0.000 0.491 1
N1 N 0.065 0.250 0.270 1
O1 O 0.250 0.621 0.026 1
```